This entry pairs a crystal structure of V10Si6B with its computed X-ray powder pattern. Radiation: Cu Kα, 1.54184 Å. Structure: a DFT-relaxed cell (GGA-PBE, the Materials Project).
Peak positions follow from Bragg's law for the DFT cell and can differ from measured ones.

Most intense lines, 2θ = 10–90°, in order of falling intensity:
Position (°2θ)  d_spacing  Rel. int.  (hkl)
42.9  2.108  100  3 -1 1
45.1  2.008  77  1 1 2
43.9  2.063  44  3 0 0
38.5  2.340  39  2 1 0
39.9  2.260  22  1 0 2
70.8  1.331  20  2 1 3
64.8  1.439  17  2 2 2
72.4  1.305  14  4 0 2

Crystal structure
```
V10Si6B
1.0
7.1480 0.0000 0.0000
-3.5740 6.1904 0.0000
0.0000 0.0000 4.8555
V Si B
10 6 1
Cartesian
-0.8748 1.5153 1.2261
-2.6992 4.6751 3.6294
1.7497 0.0000 1.2261
0.8748 1.5153 3.6294
0.0000 4.1269 0.0000
0.0000 4.1269 2.4278
3.5740 2.0635 0.0000
3.5740 2.0635 2.4278
5.3983 0.0000 3.6294
2.6992 4.6751 1.2261
-1.4196 2.4589 3.6285
-2.1544 3.7315 1.2271
2.8393 0.0000 3.6285
1.4196 2.4589 1.2271
4.3087 0.0000 1.2271
2.1544 3.7315 3.6285
0.0000 0.0000 0.0000
```